(1)
For CsNiC3S3N3, DFT lattice parameters and positions (PBE) gives the simulated powder diffractogram in this record (Cu Ka).
Intensities are scaled so that the largest is 100.

Principal peaks in the range 2θ from 10° to 90°, by angle:
two_theta	d/Å	I_rel	(hkl)
17.5	5.068	38	1 1 -1
19.6	4.519	100	0 2 2
21.6	4.109	34	1 2 0
28.8	3.101	43	0 0 4
29.6	3.021	29	0 1 4
30.7	2.912	40	1 3 -3

Structural model:
```
data_CsNiC3S3N3
_cell_length_a 5.5298
_cell_length_b 13.1745
_cell_length_c 13.0617
_cell_angle_alpha 90.00
_cell_angle_beta 108.08
_cell_angle_gamma 90.00
_symmetry_space_group_name_H-M 'P 1 21/c 1'
_symmetry_Int_Tables_number 14
_symmetry_space_group_name_Hall '-P 2ybc'
loop_
_atom_site_label
_atom_site_fract_x
_atom_site_fract_y
_atom_site_fract_z
_atom_site_occupancy
Cs1 0.0639 0.2289 0.2174 1
Ni1 0.0000 0.0000 0.0000 1
Ni2 0.5000 0.0000 0.5000 1
C1 0.0378 0.5941 0.0739 1
C2 0.3195 0.5504 0.7378 1
C3 0.4812 0.6182 0.4905 1
S1 0.2294 0.1611 0.9841 1
S2 0.3102 0.6436 0.0774 1
S3 0.4909 0.6093 0.8463 1
N1 0.1618 0.0588 0.4297 1
N2 0.1925 0.5102 0.6583 1
N3 0.2717 0.5863 0.4712 1
```

***

(2)
For Cs4UC8S8N8, DFT lattice parameters and positions (PBE) gives the simulated powder diffractogram in this record (Cu Ka).
Intensities are scaled so that the largest is 100.

Principal peaks in the range 2θ from 10° to 90°, by angle:
two_theta	d/Å	I_rel	(hkl)
10.9	8.133	71	1 0 1
15.9	5.569	35	0 0 2
18.5	4.803	100	1 2 1
23.6	3.764	70	3 1 0
28.6	3.119	46	3 1 2
29.3	3.045	84	1 2 3

Structural model:
```
data_Cs4UC8S8N8
_cell_length_a 11.9041
_cell_length_b 11.9041
_cell_length_c 11.1373
_cell_angle_alpha 90.00
_cell_angle_beta 90.00
_cell_angle_gamma 90.00
_symmetry_space_group_name_H-M 'P 4/n'
_symmetry_Int_Tables_number 85
loop_
_symmetry_equiv_pos_as_xyz
'x,y,z'
'-x,-y,-z'
'-y+1/2,x,z'
'y+1/2,-x,-z'
'-x+1/2,-y+1/2,z'
'x+1/2,y+1/2,-z'
'y,-x+1/2,z'
'-y,x+1/2,-z'
loop_
_atom_site_label
_atom_site_fract_x
_atom_site_fract_y
_atom_site_fract_z
_atom_site_occupancy
Cs1 0.0841 0.8918 0.2470 1
U1 0.2500 0.2500 0.3076 1
C1 0.0070 0.1576 0.1400 1
C2 0.0246 0.3307 0.5021 1
S1 0.0636 0.6275 0.3975 1
S2 0.1109 0.8713 0.9252 1
N1 0.0881 0.3019 0.4252 1
N2 0.0922 0.1790 0.1913 1
```

***

(3)
For CsTmC3N3, DFT lattice parameters and positions (PBE) gives the simulated powder diffractogram in this record (Cu Ka).
Intensities are scaled so that the largest is 100.

Principal peaks in the range 2θ from 10° to 90°, by angle:
two_theta	d/Å	I_rel	(hkl)
21.5	4.128	100	2 2 0
30.6	2.919	33	4 0 0
37.7	2.383	42	4 2 2
43.9	2.064	21	4 4 0
49.4	1.846	26	6 2 0
59.2	1.560	28	6 4 2

Structural model:
```
data_CsTmC3N3
_cell_length_a 11.6756
_cell_length_b 11.6756
_cell_length_c 11.6756
_cell_angle_alpha 90.00
_cell_angle_beta 90.00
_cell_angle_gamma 90.00
_symmetry_space_group_name_H-M 'F m -3 m'
_symmetry_Int_Tables_number 225
_symmetry_space_group_name_Hall '-F 4 2 3'
loop_
_atom_site_label
_atom_site_fract_x
_atom_site_fract_y
_atom_site_fract_z
_atom_site_occupancy
Cs1 0.2500 0.2500 0.2500 1
Tm1 0.0000 0.0000 0.0000 1
Tm2 0.0000 0.0000 0.5000 1
C1 0.0000 0.0000 0.2038 1
N1 0.0000 0.0000 0.3055 1
```